Theoretical X-ray powder pattern
Compound: LaPd2
Radiation: a wavelength of 1.5418 Å
Structure: a cell relaxed with PBE
Neutral-atom scattering factors, no anomalous dispersion.

Structure:
Cell: 4.0077 4.0077 8.9435 Å, 90.00 90.00 90.00°
Space group I4/mmm (No. 139)
One atom of each set of equivalent atoms:
La (0.0000, 0.0000, 0.0000)
Pd (0.0000, 0.5000, 0.2500)

Main lines, low angle first (10 to 90 degrees two-theta):
d (Å), two_theta, I_rel
3.657, 24.34, 41
2.393, 37.58, 100
2.236, 40.34, 18
2.004, 45.25, 26
1.757, 52.05, 12
1.492, 62.21, 20
1.417, 65.92, 8
1.319, 71.52, 13
1.219, 78.43, 21
1.197, 80.20, 10